1.
This entry pairs a crystal structure of TaNi2Pt3 with its calculated powder diffraction line list. Radiation: Cu Kα (λ = 1.5418 Å). Structure: a DFT-relaxed cell (GGA-PBE, Alexandria).

Most intense lines, 5° ≤ 2θ ≤ 70°, sorted by position:
hkl 0 0 1, 11.9 deg, I 5.4; hkl 0 0 2, 23.8 deg, I 9.7; hkl 1 3 0, 32.1 deg, I 9.4; hkl 1 3 2, 40.4 deg, I 100.0; hkl 2 0 0, 46.0 deg, I 34.2; hkl 0 0 4, 48.8 deg, I 14.3; hkl 2 6 0, 67.1 deg, I 10.5; hkl 2 0 4, 69.3 deg, I 18.9

Structure:
a b c (Å): 3.946 11.837 7.466
angles (deg): 90.00 90.00 90.00
Space group Cmmm (No. 65)
Inequivalent atoms, fractional coordinates:
Ta  0.000  0.149  0.000 (multiplicity 4)
Ni  0.000  0.178  0.500 (multiplicity 4)
Ni  0.000  0.500  0.000 (multiplicity 2)
Ni  0.000  0.500  0.500 (multiplicity 2)
Pt  0.000  0.000  0.270 (multiplicity 4)
Pt  0.000  0.334  0.248 (multiplicity 8)



2.
This entry pairs a crystal structure of TaNi5Pt5 with its calculated powder diffraction line list. Radiation: Cu Kα (λ = 1.5418 Å). Structure: a DFT-relaxed cell (GGA-PBE, Alexandria).

Most intense lines, 5° ≤ 2θ ≤ 70°, sorted by position:
hkl 0 0 1, 11.4 deg, I 28.1; hkl 1 0 1, 22.6 deg, I 24.7; hkl 2 1 -1, 41.4 deg, I 83.2; hkl 2 1 0, 42.0 deg, I 32.2; hkl 0 1 3, 42.2 deg, I 100.0; hkl 2 0 2, 46.2 deg, I 42.9; hkl 0 2 0, 47.6 deg, I 38.3; hkl 2 2 2, 68.5 deg, I 26.6

Structure:
a b c (Å): 5.340 3.821 7.958
angles (deg): 90.00 103.01 90.00
Space group P2/m (No. 10)
Inequivalent atoms, fractional coordinates:
Ta  0.000  0.000  0.000 (multiplicity 1)
Ni  0.191  0.500  0.821 (multiplicity 2)
Ni  0.382  0.000  0.663 (multiplicity 2)
Ni  0.500  0.500  0.500 (multiplicity 1)
Pt  0.108  0.000  0.360 (multiplicity 2)
Pt  0.305  0.500  0.176 (multiplicity 2)
Pt  0.500  0.000  0.000 (multiplicity 1)



3.
This entry pairs a crystal structure of TaNi2Pt4 with its calculated powder diffraction line list. Radiation: Cu Kα (λ = 1.5418 Å). Structure: a DFT-relaxed cell (GGA-PBE, Alexandria).

Most intense lines, 5° ≤ 2θ ≤ 70°, sorted by position:
hkl 1 2 1, 34.5 deg, I 20.0; hkl 0 0 2, 36.7 deg, I 23.3; hkl 2 0 0, 37.6 deg, I 37.3; hkl 1 3 -1, 39.0 deg, I 100.0; hkl 1 1 -2, 40.2 deg, I 40.2; hkl 1 3 1, 41.6 deg, I 58.5; hkl 1 0 2, 43.8 deg, I 23.8; hkl 2 2 -1, 44.7 deg, I 28.7

Structure:
a b c (Å): 4.830 8.877 4.954
angles (deg): 90.00 98.23 90.00
Space group P2_1/c (No. 14)
Inequivalent atoms, fractional coordinates:
Ta  0.000  0.000  0.000 (multiplicity 2)
Ni  0.372  0.092  0.365 (multiplicity 4)
Pt  0.086  0.661  0.982 (multiplicity 4)
Pt  0.473  0.140  0.877 (multiplicity 4)



4.
This entry pairs a crystal structure of TaNi2Pt6 with its calculated powder diffraction line list. Radiation: Cu Kα (λ = 1.5418 Å). Structure: a DFT-relaxed cell (GGA-PBE, Alexandria).

Most intense lines, 5° ≤ 2θ ≤ 70°, sorted by position:
hkl 0 0 2, 22.6 deg, I 2.1; hkl 2 0 -2, 25.9 deg, I 2.5; hkl 1 1 -1, 26.3 deg, I 3.8; hkl 3 1 0, 40.0 deg, I 100.0; hkl 2 0 3, 46.4 deg, I 16.4; hkl 0 2 0, 46.6 deg, I 32.5; hkl 6 0 0, 67.9 deg, I 21.0; hkl 4 2 -3, 68.0 deg, I 10.5

Structure:
a b c (Å): 8.719 3.896 8.286
angles (deg): 90.00 108.26 90.00
Space group C2/m (No. 12)
Inequivalent atoms, fractional coordinates:
Ta  0.000  0.000  0.000 (multiplicity 2)
Ni  0.163  0.500  0.220 (multiplicity 4)
Pt  0.000  0.000  0.323 (multiplicity 4)
Pt  0.165  0.500  0.892 (multiplicity 4)
Pt  0.167  0.500  0.554 (multiplicity 4)



5.
This entry pairs a crystal structure of Tb3Ni4Pt4 with its calculated powder diffraction line list. Radiation: Cu Kα (λ = 1.5418 Å). Structure: a DFT-relaxed cell (GGA-PBE, Alexandria).

Most intense lines, 5° ≤ 2θ ≤ 70°, sorted by position:
hkl 2 1 1, 29.5 deg, I 34.6; hkl 2 2 0, 34.2 deg, I 100.0; hkl 3 1 0, 38.4 deg, I 29.3; hkl 3 2 1, 45.8 deg, I 28.3; hkl 4 1 1, 52.3 deg, I 37.6; hkl 3 3 2, 58.4 deg, I 12.8; hkl 4 2 2, 61.2 deg, I 19.5; hkl 4 3 1, 64.0 deg, I 11.4

Structure:
a b c (Å): 7.417 7.417 7.417
angles (deg): 90.00 90.00 90.00
Space group I-43m (No. 217)
Inequivalent atoms, fractional coordinates:
Tb  0.000  0.000  0.500 (multiplicity 6)
Ni  0.115  0.115  0.115 (multiplicity 8)
Pt  0.202  0.202  0.798 (multiplicity 8)



6.
This entry pairs a crystal structure of TbNiPt3 with its calculated powder diffraction line list. Radiation: Cu Kα (λ = 1.5418 Å). Structure: a DFT-relaxed cell (GGA-PBE, Alexandria).

Most intense lines, 5° ≤ 2θ ≤ 70°, sorted by position:
hkl 0 0 2, 20.0 deg, I 38.5; hkl 0 2 2, 31.1 deg, I 24.0; hkl 0 3 1, 37.2 deg, I 100.0; hkl 2 0 2, 39.4 deg, I 44.9; hkl 0 0 4, 40.6 deg, I 26.2; hkl 2 2 0, 41.5 deg, I 52.7; hkl 1 2 3, 42.4 deg, I 51.4; hkl 2 2 4, 59.4 deg, I 23.3

Structure:
a b c (Å): 5.337 7.531 8.878
angles (deg): 90.00 90.00 90.00
Space group Imma (No. 74)
Inequivalent atoms, fractional coordinates:
Tb  0.000  0.250  0.002 (multiplicity 4)
Ni  0.000  0.000  0.500 (multiplicity 4)
Pt  0.000  0.250  0.324 (multiplicity 4)
Pt  0.250  0.058  0.750 (multiplicity 8)



7.
This entry pairs a crystal structure of Tb2ZnNi2Pt5 with its calculated powder diffraction line list. Radiation: Cu Kα (λ = 1.5418 Å). Structure: a DFT-relaxed cell (GGA-PBE, Alexandria).

Most intense lines, 5° ≤ 2θ ≤ 70°, sorted by position:
hkl 0 0 1, 22.6 deg, I 18.7; hkl 2 1 1, 31.4 deg, I 37.3; hkl 2 2 1, 35.7 deg, I 21.3; hkl 3 1 1, 38.4 deg, I 100.0; hkl 4 1 0, 40.3 deg, I 54.1; hkl 3 2 1, 42.1 deg, I 42.9; hkl 0 0 2, 46.1 deg, I 33.2; hkl 4 1 2, 62.9 deg, I 29.7

Structure:
a b c (Å): 9.219 9.219 3.942
angles (deg): 90.00 90.00 90.00
Space group P4/mbm (No. 127)
Inequivalent atoms, fractional coordinates:
Tb  0.175  0.325  0.000 (multiplicity 4)
Zn  0.000  0.000  0.000 (multiplicity 2)
Ni  0.123  0.623  0.000 (multiplicity 4)
Pt  0.000  0.500  0.500 (multiplicity 2)
Pt  0.068  0.795  0.500 (multiplicity 8)



8.
This entry pairs a crystal structure of Tb2Zn3Ni12Pt with its calculated powder diffraction line list. Radiation: Cu Kα (λ = 1.5418 Å). Structure: a DFT-relaxed cell (GGA-PBE, Alexandria).

Most intense lines, 5° ≤ 2θ ≤ 70°, sorted by position:
hkl 0 0 3, 7.6 deg, I 83.6; hkl 0 1 5, 23.9 deg, I 47.4; hkl 0 1 11, 34.8 deg, I 62.4; hkl 1 1 3, 36.1 deg, I 86.8; hkl 1 1 6, 38.6 deg, I 45.4; hkl 0 1 14, 41.6 deg, I 42.9; hkl 2 0 8, 46.1 deg, I 100.0; hkl 0 2 10, 48.9 deg, I 34.7

Structure:
a b c (Å): 5.0937 5.0937 34.8761
angles (deg): 90.00 90.00 120.00
Space group R-3m (No. 166, hexagonal axes)
Inequivalent atoms, fractional coordinates:
Tb  0.0000  0.0000  0.1408 (multiplicity 6)
Zn  0.0000  0.5000  0.0000 (multiplicity 9)
Ni  0.0030  0.5015  0.1076 (multiplicity 18)
Ni  0.0181  0.5091  0.6121 (multiplicity 18)
Pt  0.0000  0.0000  0.5000 (multiplicity 3)



What did the fourth record say?
This entry pairs a crystal structure of TaNi2Pt6 with its calculated powder diffraction line list. Radiation: Cu Kα (λ = 1.5418 Å). Structure: a DFT-relaxed cell (GGA-PBE, Alexandria).

Most intense lines, 5° ≤ 2θ ≤ 70°, sorted by position:
hkl 0 0 2, 22.6 deg, I 2.1; hkl 2 0 -2, 25.9 deg, I 2.5; hkl 1 1 -1, 26.3 deg, I 3.8; hkl 3 1 0, 40.0 deg, I 100.0; hkl 2 0 3, 46.4 deg, I 16.4; hkl 0 2 0, 46.6 deg, I 32.5; hkl 6 0 0, 67.9 deg, I 21.0; hkl 4 2 -3, 68.0 deg, I 10.5

Structure:
a b c (Å): 8.719 3.896 8.286
angles (deg): 90.00 108.26 90.00
Space group C2/m (No. 12)
Inequivalent atoms, fractional coordinates:
Ta  0.000  0.000  0.000 (multiplicity 2)
Ni  0.163  0.500  0.220 (multiplicity 4)
Pt  0.000  0.000  0.323 (multiplicity 4)
Pt  0.165  0.500  0.892 (multiplicity 4)
Pt  0.167  0.500  0.554 (multiplicity 4)